1.
# GdErZn2
Computed XRD peak list, CuKα. Input: a DFT-relaxed cell (GGA-PBE, the Materials Project).
Peak positions follow from Bragg's law for the DFT cell and can differ from measured ones.

Crystal structure
a = 7.1360 Å, b = 7.1360 Å, c = 7.1360 Å
α = 90.00°, β = 90.00°, γ = 90.00°
Sites, in units of the cell vectors:
1 Gd 0.0000 0.0000 0.0000
2 Gd 0.0000 0.5000 0.5000
3 Gd 0.5000 0.0000 0.5000
4 Gd 0.5000 0.5000 0.0000
5 Er 0.0000 0.0000 0.5000
6 Er 0.0000 0.5000 0.0000
7 Er 0.5000 0.0000 0.0000
8 Er 0.5000 0.5000 0.5000
9 Zn 0.2500 0.2500 0.2500
10 Zn 0.2500 0.2500 0.7500
11 Zn 0.2500 0.7500 0.2500
12 Zn 0.2500 0.7500 0.7500
13 Zn 0.7500 0.2500 0.2500
14 Zn 0.7500 0.2500 0.7500
15 Zn 0.7500 0.7500 0.2500
16 Zn 0.7500 0.7500 0.7500

Most intense lines, 2θ from 10° to 80°, most intense first:
d 2.523, 2θ = 35.58°, I = 100; d 1.457, 2θ = 63.91°, I = 36; d 3.568, 2θ = 24.96°, I = 18; d 1.784, 2θ = 51.21°, I = 18; d 1.261, 2θ = 75.34°, I = 11; d 1.596, 2θ = 57.78°, I = 8; d 2.060, 2θ = 43.95°, I = 5

---

2.
# MgCo4S8
Computed XRD peak list, CuKα. Input: a DFT-relaxed cell (GGA-PBE, the Materials Project).
Peak positions follow from Bragg's law for the DFT cell and can differ from measured ones.

Crystal structure
a = 6.8317 Å, b = 6.8317 Å, c = 6.7818 Å
α = 119.41°, β = 119.41°, γ = 60.79°
Sites, in units of the cell vectors:
1 Mg 0.0000 0.0000 0.0000
2 Co 0.3800 0.8741 0.6254
3 Co 0.3810 0.3810 0.1344
4 Co 0.3815 0.3815 0.6237
5 Co 0.8741 0.3800 0.6254
6 S 0.1465 0.1465 0.8605
7 S 0.1466 0.1466 0.4290
8 S 0.1471 0.5758 0.8595
9 S 0.1778 0.6140 0.3939
10 S 0.5758 0.1471 0.8595
11 S 0.6102 0.6102 0.3963
12 S 0.6113 0.6113 0.8235
13 S 0.6140 0.1778 0.3939

Most intense lines, 2θ from 10° to 80°, most intense first:
d 2.421, 2θ = 37.13°, I = 100; d 5.628, 2θ = 15.75°, I = 65; d 5.576, 2θ = 15.89°, I = 32; d 5.537, 2θ = 16.01°, I = 32; d 1.717, 2θ = 53.36°, I = 24; d 1.708, 2θ = 53.67°, I = 24; d 2.935, 2θ = 30.46°, I = 18; d 1.870, 2θ = 48.69°, I = 15; d 2.909, 2θ = 30.73°, I = 13; d 2.926, 2θ = 30.55°, I = 13

---

3.
# Lu2Si5Ni3
Computed XRD peak list, CuKα. Input: a DFT-relaxed cell (GGA-PBE, the Materials Project).
Peak positions follow from Bragg's law for the DFT cell and can differ from measured ones.

Crystal structure
a = 7.8016 Å, b = 7.8016 Å, c = 7.8016 Å
α = 103.68°, β = 91.09°, γ = 138.10°
Sites, in units of the cell vectors:
1 Lu 0.1302 0.2363 0.3665
2 Lu 0.3698 0.7363 0.1061
3 Lu 0.6302 0.2637 0.8939
4 Lu 0.8698 0.7637 0.6335
5 Si 0.0138 0.7500 0.2638
6 Si 0.1088 0.6515 0.7604
7 Si 0.2500 0.2500 0.0000
8 Si 0.3912 0.1515 0.5427
9 Si 0.4862 0.7500 0.7362
10 Si 0.5138 0.2500 0.2638
11 Si 0.6088 0.8485 0.4573
12 Si 0.7500 0.7500 0.0000
13 Si 0.8912 0.3485 0.2396
14 Si 0.9862 0.2500 0.7362
15 Ni 0.1339 0.8825 0.0164
16 Ni 0.2500 0.7500 0.5000
17 Ni 0.3661 0.3825 0.7487
18 Ni 0.6339 0.6175 0.2513
19 Ni 0.7500 0.2500 0.5000
20 Ni 0.8661 0.1175 0.9836

Most intense lines, 2θ from 10° to 80°, most intense first:
d 2.481, 2θ = 36.21°, I = 100; d 2.413, 2θ = 37.26°, I = 67; d 3.618, 2θ = 24.61°, I = 58; d 1.952, 2θ = 46.53°, I = 53; d 2.377, 2θ = 37.85°, I = 52; d 1.729, 2θ = 52.95°, I = 39; d 2.789, 2θ = 32.09°, I = 24; d 4.820, 2θ = 18.41°, I = 23; d 1.544, 2θ = 59.91°, I = 23; d 2.732, 2θ = 32.78°, I = 22

---

4.
# Ba2HoPaO6
Computed XRD peak list, CuKα. Input: a DFT-relaxed cell (GGA-PBE, the Materials Project).
Peak positions follow from Bragg's law for the DFT cell and can differ from measured ones.

Crystal structure
a = 6.2559 Å, b = 6.2559 Å, c = 6.2559 Å
α = 60.00°, β = 60.00°, γ = 60.00°
Sites, in units of the cell vectors:
1 Ba 0.2500 0.2500 0.2500
2 Ba 0.7500 0.7500 0.7500
3 Ho 0.0000 0.0000 0.0000
4 Pa 0.5000 0.5000 0.5000
5 O 0.2533 0.2533 0.7467
6 O 0.2533 0.7467 0.2533
7 O 0.2533 0.7467 0.7467
8 O 0.7467 0.2533 0.2533
9 O 0.7467 0.2533 0.7467
10 O 0.7467 0.7467 0.2533

Most intense lines, 2θ from 10° to 80°, most intense first:
d 3.128, 2θ = 28.54°, I = 100; d 1.806, 2θ = 50.54°, I = 42; d 2.212, 2θ = 40.80°, I = 28; d 1.399, 2θ = 66.89°, I = 19; d 1.564, 2θ = 59.07°, I = 18; d 4.424, 2θ = 20.07°, I = 8; d 1.277, 2θ = 74.27°, I = 6; d 1.978, 2θ = 45.87°, I = 4; d 5.108, 2θ = 17.36°, I = 2; d 1.475, 2θ = 63.04°, I = 2

---

5.
# DyBiPd
Computed XRD peak list, CuKα. Input: a DFT-relaxed cell (GGA-PBE, the Materials Project).
Peak positions follow from Bragg's law for the DFT cell and can differ from measured ones.

Crystal structure
a = 6.7289 Å, b = 6.7289 Å, c = 6.7289 Å
α = 90.00°, β = 90.00°, γ = 90.00°
Sites, in units of the cell vectors:
1 Dy 0.0000 0.0000 0.0000
2 Dy 0.0000 0.5000 0.5000
3 Dy 0.5000 0.0000 0.5000
4 Dy 0.5000 0.5000 0.0000
5 Bi 0.0000 0.0000 0.5000
6 Bi 0.0000 0.5000 0.0000
7 Bi 0.5000 0.0000 0.0000
8 Bi 0.5000 0.5000 0.5000
9 Pd 0.2500 0.2500 0.2500
10 Pd 0.2500 0.7500 0.7500
11 Pd 0.7500 0.2500 0.7500
12 Pd 0.7500 0.7500 0.2500

Most intense lines, 2θ from 10° to 80°, most intense first:
d 2.379, 2θ = 37.82°, I = 100; d 3.364, 2θ = 26.49°, I = 37; d 1.374, 2θ = 68.29°, I = 36; d 1.682, 2θ = 54.55°, I = 17; d 3.885, 2θ = 22.89°, I = 15; d 1.505, 2θ = 61.64°, I = 15; d 1.942, 2θ = 46.77°, I = 11; d 2.029, 2θ = 44.66°, I = 8; d 1.544, 2θ = 59.92°, I = 3; d 1.295, 2θ = 73.07°, I = 2

---

6.
# Li2ZrF6
Computed XRD peak list, CuKα. Input: a DFT-relaxed cell (GGA-PBE, the Materials Project).
Peak positions follow from Bragg's law for the DFT cell and can differ from measured ones.

Crystal structure
a = 5.0698 Å, b = 5.0698 Å, c = 4.7246 Å
α = 90.00°, β = 90.00°, γ = 120.00°
Sites, in units of the cell vectors:
1 Li 0.3333 0.6667 0.0000
2 Li 0.6667 0.3333 0.0000
3 Zr 0.0000 0.0000 0.5000
4 F 0.0000 0.3274 0.7557
5 F 0.0000 0.6726 0.2443
6 F 0.3274 0.0000 0.7557
7 F 0.3274 0.3274 0.2443
8 F 0.6726 0.0000 0.2443
9 F 0.6726 0.6726 0.7557

Most intense lines, 2θ from 10° to 80°, most intense first:
d 3.216, 2θ = 27.74°, I = 100; d 4.391, 2θ = 20.23°, I = 94; d 2.234, 2θ = 40.38°, I = 63; d 1.728, 2θ = 52.99°, I = 40; d 4.725, 2θ = 18.78°, I = 27; d 1.991, 2θ = 45.56°, I = 25; d 1.566, 2θ = 58.99°, I = 23; d 2.080, 2θ = 43.50°, I = 22; d 1.464, 2θ = 63.57°, I = 19; d 2.195, 2θ = 41.12°, I = 12

---

Q: Number 2 is which compound?
A: MgCo4S8